No. 1
Theoretical XRD peak list of Li3V2O4F2 for λ = 1.5418 Å (Cu Kα), from a cell relaxed with PBE+U.

Cell and atoms:
Cell lengths 5.937, 7.871, 7.908 Å; angles 86.00, 68.70, 79.73 degrees
Atoms (fractional coordinates):
Li 0.000 0.000 0.000
Li 0.059 0.145 0.280
Li 0.151 0.365 0.002
Li 0.243 0.465 0.276
Li 0.422 0.778 0.267
Li 0.489 0.017 0.012
Li 0.660 0.342 0.032
Li 0.825 0.652 0.007
Li 0.920 0.780 0.272
V 0.117 0.231 0.641
V 0.284 0.571 0.642
V 0.457 0.901 0.637
V 0.626 0.230 0.627
V 0.780 0.567 0.641
V 0.957 0.898 0.637
O 0.072 0.667 0.493
O 0.165 0.793 0.779
O 0.246 0.014 0.499
O 0.331 0.109 0.784
O 0.386 0.343 0.510
O 0.511 0.454 0.772
O 0.582 0.695 0.494
O 0.664 0.787 0.777
O 0.751 0.007 0.494
O 0.834 0.129 0.784
O 0.925 0.344 0.495
O 0.981 0.456 0.789
F 0.038 0.569 0.139
F 0.193 0.917 0.161
F 0.360 0.245 0.127
F 0.533 0.562 0.145
F 0.717 0.880 0.119
F 0.908 0.222 0.107

Main lines, by intensity (2θ from 10° to 80°):
h k l, 2θ (°), I/Imax
0 0 1, 12.01, 1000
0 0 2, 24.16, 333
2 2 -1, 42.83, 215
2 -1 3, 43.03, 190
0 3 2, 42.65, 187
2 -1 1, 34.73, 159
4 1 2, 62.63, 102
2 -4 1, 62.05, 96
2 -1 2, 37.03, 88
2 2 1, 35.03, 74

---

No. 2
Theoretical XRD peak list of Li3V2O4F2 for λ = 1.5418 Å (Cu Kα), from a cell relaxed with PBE+U.

Cell and atoms:
Cell lengths 5.940, 7.844, 7.957 Å; angles 106.12, 101.25, 100.05 degrees
Atoms (fractional coordinates):
Li 0.000 0.000 0.000
Li 0.007 0.334 0.730
Li 0.157 0.639 0.006
Li 0.319 0.285 0.986
Li 0.467 0.968 0.969
Li 0.513 0.328 0.726
Li 0.656 0.646 0.996
Li 0.677 0.013 0.731
Li 0.870 0.686 0.723
V 0.007 0.662 0.371
V 0.163 0.326 0.359
V 0.334 0.991 0.363
V 0.504 0.658 0.368
V 0.669 0.322 0.352
V 0.836 0.991 0.371
O 0.014 0.831 0.225
O 0.165 0.152 0.501
O 0.168 0.512 0.226
O 0.332 0.830 0.504
O 0.339 0.156 0.209
O 0.500 0.466 0.496
O 0.510 0.834 0.221
O 0.653 0.151 0.508
O 0.684 0.501 0.223
O 0.827 0.166 0.222
O 0.838 0.806 0.512
O 0.979 0.483 0.505
F 0.159 0.824 0.897
F 0.336 0.477 0.879
F 0.499 0.154 0.858
F 0.688 0.838 0.874
F 0.830 0.503 0.846
F 0.997 0.160 0.858

Main lines, by intensity (2θ from 10° to 80°):
h k l, 2θ (°), I/Imax
0 0 1, 11.98, 1000
-2 2 2, 42.93, 370
0 0 2, 24.10, 333
2 1 1, 42.64, 243
2 1 -5, 61.72, 96
0 3 -2, 37.10, 84
0 3 -1, 34.85, 80
2 1 -1, 34.64, 78
2 4 -2, 62.06, 75
2 -2 0, 35.11, 73